Record 1
Diffraction record for Rb3Cd7In2. The powder diffraction line list is calculated, not measured: it uses a DFT-relaxed cell (PBE, Alexandria) and Cu Kα (λ = 1.5418 Å).
Intensities are scaled so that the largest is 100.

Atomic structure:
Cell: 5.0723 4.9662 17.5517 Å, 90.00 92.04 90.00°
Space group P2/m (No. 10)
Asymmetric unit:
1 Rb 0.0000 0.0000 0.0000 [1 per cell]
2 Rb 0.2359 0.0000 0.4108 [2 per cell]
3 Cd 0.2361 0.5000 0.2379 [2 per cell]
4 Cd 0.2608 0.5000 0.6603 [2 per cell]
5 Cd 0.3394 0.0000 0.7626 [2 per cell]
6 Cd 0.5000 0.5000 0.0000 [1 per cell]
7 In 0.2590 0.5000 0.8532 [2 per cell]

Main lines, most intense first (2θ from 5° to 70°):
| d [Å] | Position (°2θ) | I (rel.) | index |
| --- | --- | --- | --- |
| 3.067 | 29.12 | 100 | 1 1 -3 |
| 8.770 | 10.09 | 75 | 0 0 2 |
| 2.463 | 36.48 | 67 | 1 1 5 |
| 2.523 | 35.59 | 62 | 1 1 -5 |
| 2.483 | 36.17 | 54 | 0 2 0 |
| 3.261 | 27.35 | 40 | 1 1 2 |
| 17.541 | 5.04 | 32 | 0 0 1 |
| 3.000 | 29.78 | 22 | 1 1 3 |
| 4.322 | 20.55 | 21 | 1 0 2 |
| 2.071 | 43.71 | 20 | 1 1 -7 |

***

Record 2
Diffraction record for RbCd6In. The powder diffraction line list is calculated, not measured: it uses a DFT-relaxed cell (PBE, Alexandria) and Cu Kα (λ = 1.5418 Å).
Intensities are scaled so that the largest is 100.

Atomic structure:
Cell: 4.8865 4.8865 9.8748 Å, 90.00 90.00 90.00°
Space group P4/mmm (No. 123)
Asymmetric unit:
1 Rb 0.0000 0.0000 0.0000 [1 per cell]
2 Cd 0.0000 0.5000 0.3231 [4 per cell]
3 Cd 0.5000 0.5000 0.1471 [2 per cell]
4 In 0.0000 0.0000 0.5000 [1 per cell]

Main lines, most intense first (2θ from 5° to 70°):
| d [Å] | Position (°2θ) | I (rel.) | index |
| --- | --- | --- | --- |
| 2.383 | 37.75 | 100 | 1 1 3 |
| 2.443 | 36.79 | 88 | 2 0 0 |
| 2.831 | 31.61 | 59 | 1 1 2 |
| 3.261 | 27.35 | 48 | 1 1 1 |
| 3.473 | 25.65 | 41 | 1 0 2 |
| 1.399 | 66.89 | 35 | 3 1 3 |
| 1.728 | 53.00 | 30 | 2 2 0 |
| 4.380 | 20.28 | 29 | 1 0 1 |
| 2.203 | 40.96 | 26 | 1 0 4 |
| 1.365 | 68.77 | 21 | 2 0 6 |

***

Record 3
Diffraction record for RbCd2In8. The powder diffraction line list is calculated, not measured: it uses a DFT-relaxed cell (PBE, Alexandria) and Cu Kα (λ = 1.5418 Å).
Intensities are scaled so that the largest is 100.

Atomic structure:
Cell: 5.4309 5.4309 12.2782 Å, 90.00 90.00 90.00°
Space group P4/mmm (No. 123)
Asymmetric unit:
1 Rb 0.0000 0.0000 0.0000 [1 per cell]
2 Cd 0.0000 0.0000 0.3643 [2 per cell]
3 In 0.0000 0.5000 0.2259 [4 per cell]
4 In 0.0000 0.5000 0.5000 [2 per cell]
5 In 0.5000 0.5000 0.3650 [2 per cell]

Main lines, most intense first (2θ from 5° to 70°):
| d [Å] | Position (°2θ) | I (rel.) | index |
| --- | --- | --- | --- |
| 12.278 | 7.20 | 100 | 0 0 1 |
| 2.800 | 31.96 | 77 | 1 1 3 |
| 2.715 | 32.99 | 67 | 2 0 0 |
| 2.398 | 37.51 | 57 | 1 1 4 |
| 1.584 | 58.26 | 26 | 3 1 3 |
| 1.499 | 61.91 | 25 | 3 1 4 |
| 1.920 | 47.34 | 24 | 2 2 0 |
| 1.473 | 63.10 | 12 | 2 0 7 |
| 2.651 | 33.81 | 12 | 2 0 1 |
| 3.256 | 27.39 | 8 | 1 1 2 |

***

Record 4
Diffraction record for RbTlCdIn. The powder diffraction line list is calculated, not measured: it uses a DFT-relaxed cell (PBE, Alexandria) and Cu Kα (λ = 1.5418 Å).
Intensities are scaled so that the largest is 100.

Atomic structure:
Cell: 8.0016 8.0016 8.0016 Å, 90.00 90.00 90.00°
Space group F-43m (No. 216)
Asymmetric unit:
1 Rb 0.0000 0.0000 0.0000 [4 per cell]
2 Tl 0.2500 0.2500 0.2500 [4 per cell]
3 Cd 0.2500 0.2500 0.7500 [4 per cell]
4 In 0.0000 0.0000 0.5000 [4 per cell]

Main lines, most intense first (2θ from 5° to 70°):
| d [Å] | Position (°2θ) | I (rel.) | index |
| --- | --- | --- | --- |
| 2.829 | 31.63 | 100 | 2 2 0 |
| 1.633 | 56.33 | 38 | 4 2 2 |
| 2.000 | 45.34 | 18 | 4 0 0 |
| 1.414 | 66.05 | 12 | 4 4 0 |
| 4.620 | 19.21 | 6 | 1 1 1 |
| 4.001 | 22.22 | 5 | 2 0 0 |
| 2.413 | 37.27 | 4 | 3 1 1 |
| 1.789 | 51.05 | 3 | 4 2 0 |
| 1.836 | 49.66 | 2 | 3 3 1 |
| 2.310 | 38.99 | 2 | 2 2 2 |

***

Record 5
Diffraction record for RbTl5CdIn2. The powder diffraction line list is calculated, not measured: it uses a DFT-relaxed cell (PBE, Alexandria) and Cu Kα (λ = 1.5418 Å).
Intensities are scaled so that the largest is 100.

Atomic structure:
Cell: 5.1599 5.1599 13.1908 Å, 90.00 90.00 90.00°
Space group P4/mmm (No. 123)
Asymmetric unit:
1 Rb 0.0000 0.0000 0.0000 [1 per cell]
2 Tl 0.0000 0.5000 0.3620 [4 per cell]
3 Tl 0.5000 0.5000 0.0000 [1 per cell]
4 Cd 0.5000 0.5000 0.5000 [1 per cell]
5 In 0.5000 0.5000 0.2235 [2 per cell]

Main lines, most intense first (2θ from 5° to 70°):
| d [Å] | Position (°2θ) | I (rel.) | index |
| --- | --- | --- | --- |
| 2.447 | 36.73 | 100 | 1 1 4 |
| 3.517 | 25.33 | 76 | 1 1 1 |
| 2.580 | 34.77 | 66 | 2 0 0 |
| 13.191 | 6.70 | 61 | 0 0 1 |
| 1.462 | 63.62 | 40 | 3 1 4 |
| 5.160 | 17.18 | 39 | 1 0 0 |
| 4.397 | 20.20 | 34 | 0 0 3 |
| 2.808 | 31.87 | 32 | 1 1 3 |
| 1.824 | 50.00 | 24 | 2 2 0 |
| 2.225 | 40.54 | 24 | 2 0 3 |

***

Record 6
Diffraction record for RbZn2CdIn8. The powder diffraction line list is calculated, not measured: it uses a DFT-relaxed cell (PBE, Alexandria) and Cu Kα (λ = 1.5418 Å).
Intensities are scaled so that the largest is 100.

Atomic structure:
Cell: 10.4179 6.9246 10.2228 Å, 90.00 110.44 90.00°
Space group C2/m (No. 12)
Asymmetric unit:
1 Rb 0.0000 0.0000 0.0000 [2 per cell]
2 Zn 0.0794 0.5000 0.2457 [4 per cell]
3 Cd 0.0000 0.0000 0.5000 [2 per cell]
4 In 0.1522 0.2507 0.7418 [8 per cell]
5 In 0.1562 0.5000 0.0064 [4 per cell]
6 In 0.2208 0.5000 0.5253 [4 per cell]

Main lines, most intense first (2θ from 5° to 70°):
| d [Å] | Position (°2θ) | I (rel.) | index |
| --- | --- | --- | --- |
| 2.806 | 31.89 | 100 | 0 2 2 |
| 2.395 | 37.56 | 50 | 0 0 4 |
| 2.871 | 31.16 | 47 | 2 2 -1 |
| 2.961 | 30.19 | 44 | 3 1 -2 |
| 2.945 | 30.35 | 36 | 3 1 0 |
| 2.569 | 34.92 | 35 | 4 0 -2 |
| 2.382 | 37.77 | 23 | 4 0 -3 |
| 2.236 | 40.34 | 23 | 3 1 -4 |
| 3.840 | 23.16 | 22 | 2 0 1 |
| 1.731 | 52.89 | 20 | 0 4 0 |

***

Record 7
Diffraction record for CdInRh2. The powder diffraction line list is calculated, not measured: it uses a DFT-relaxed cell (PBE, Alexandria) and Cu Kα (λ = 1.5418 Å).
Intensities are scaled so that the largest is 100.

Atomic structure:
Cell: 3.2231 3.2231 6.4895 Å, 90.00 90.00 90.00°
Space group P4/mmm (No. 123)
Asymmetric unit:
1 Cd 0.0000 0.0000 0.0000 [1 per cell]
2 In 0.0000 0.0000 0.5000 [1 per cell]
3 Rh 0.5000 0.5000 0.2580 [2 per cell]

Main lines, most intense first (2θ from 5° to 70°):
| d [Å] | Position (°2θ) | I (rel.) | index |
| --- | --- | --- | --- |
| 2.287 | 39.40 | 100 | 1 0 2 |
| 2.279 | 39.54 | 50 | 1 1 0 |
| 1.612 | 57.16 | 16 | 2 0 0 |
| 1.622 | 56.74 | 8 | 0 0 4 |

***

Record 8
Diffraction record for Sm4Cd2InRh. The powder diffraction line list is calculated, not measured: it uses a DFT-relaxed cell (PBE, Alexandria) and Cu Kα (λ = 1.5418 Å).
Intensities are scaled so that the largest is 100.

Atomic structure:
Cell: 5.3116 5.3116 25.5457 Å, 90.00 90.00 120.00°
Space group R-3m (No. 166, hexagonal axes)
Asymmetric unit:
1 Sm 0.0000 0.0000 0.1139 [6 per cell]
2 Sm 0.0000 0.0000 0.3683 [6 per cell]
3 Cd 0.0000 0.0000 0.2411 [6 per cell]
4 In 0.0000 0.0000 0.5000 [3 per cell]
5 Rh 0.0000 0.0000 0.0000 [3 per cell]

Main lines, most intense first (2θ from 5° to 70°):
| d [Å] | Position (°2θ) | I (rel.) | index |
| --- | --- | --- | --- |
| 2.656 | 33.75 | 100 | 1 1 0 |
| 2.623 | 34.18 | 82 | 0 1 8 |
| 1.527 | 60.65 | 31 | 1 2 8 |
| 1.866 | 48.80 | 30 | 2 0 8 |
| 1.533 | 60.37 | 18 | 3 0 0 |
| 2.859 | 31.29 | 8 | 1 0 7 |
| 1.508 | 61.47 | 8 | 1 0 16 |
| 1.434 | 65.06 | 8 | 1 1 15 |
| 1.939 | 46.85 | 6 | 1 1 9 |
| 3.733 | 23.84 | 4 | 1 0 4 |